Entry 1:
Diffraction record for VCr2O4. The XRD peak list is computed, not measured: it uses a GGA+U-relaxed structure and copper Kα.
Kinematic intensities with the Lorentz-polarization factor, no thermal factor.

Top 10 peaks for 2θ = 10–80°, by angle:
hkl 1 0 -2, 2θ = 29.3°, I 747; hkl 1 0 1, 2θ = 34.1°, I 1000; hkl 2 -1 0, 2θ = 34.3°, I 908; hkl 1 1 0, 2θ = 34.4°, I 946; hkl 1 1 -2, 2θ = 34.5°, I 875; hkl -1 2 1, 2θ = 34.6°, I 832; hkl -2 1 2, 2θ = 34.8°, I 920; hkl 2 0 0, 2θ = 41.7°, I 949; hkl -2 2 2, 2θ = 42.3°, I 460; hkl 2 2 -2, 2θ = 60.9°, I 860

Structural model:
```
data_VCr2O4
_chemical_formula_sum 'V2 Cr4 O8'
_cell_length_a 6.0489
_cell_length_b 6.0790
_cell_length_c 6.0991
_cell_angle_alpha 90.80
_cell_angle_beta 118.88
_cell_angle_gamma 119.78
_space_group_name_H-M_alt 'P 1'
_space_group_IT_number 1
_space_group_name_Hall 'P 1'
loop_
_atom_site_label
_atom_site_fract_x
_atom_site_fract_y
_atom_site_fract_z
_atom_site_occupancy
V1 0.0000 0.0000 0.0000 1
V2 0.4713 0.2366 0.7380 1
Cr1 0.2424 0.6219 0.3691 1
Cr2 0.2427 0.6224 0.8741 1
Cr3 0.7387 0.1188 0.3714 1
Cr4 0.7389 0.6215 0.3718 1
O1 0.2172 0.3789 0.6053 1
O2 0.2166 0.8395 0.6097 1
O3 0.2745 0.8635 0.1454 1
O4 0.2750 0.4127 0.1391 1
O5 0.7078 0.3569 0.5853 1
O6 0.7210 0.8658 0.5868 1
O7 0.7597 0.3787 0.1447 1
O8 0.7735 0.8835 0.1752 1
```

Entry 2:
Diffraction record for Li2CrCoP2O8. The XRD peak list is computed, not measured: it uses a GGA+U-relaxed structure and copper Kα.
Kinematic intensities with the Lorentz-polarization factor, no thermal factor.

Top 10 peaks for 2θ = 10–80°, by angle:
hkl 0 0 2, 2θ = 17.2°, I 414; hkl 1 0 -1, 2θ = 20.3°, I 511; hkl 1 0 1, 2θ = 20.7°, I 341; hkl 1 1 -1, 2θ = 25.0°, I 655; hkl 1 1 1, 2θ = 25.4°, I 522; hkl 0 2 0, 2θ = 29.1°, I 1000; hkl 1 1 -3, 2θ = 35.0°, I 669; hkl 1 1 3, 2θ = 35.8°, I 882; hkl 0 1 4, 2θ = 37.9°, I 268; hkl 0 1 6, 2θ = 55.6°, I 254

Structural model:
```
data_Li2CrCoP2O8
_chemical_formula_sum 'Li4 Cr2 Co2 P4 O16'
_cell_length_a 4.7722
_cell_length_b 6.1437
_cell_length_c 10.3085
_cell_angle_alpha 90.00
_cell_angle_beta 91.62
_cell_angle_gamma 90.00
_space_group_name_H-M_alt 'P 1 m 1'
_space_group_IT_number 6
_space_group_name_Hall 'P -2y'
loop_
_atom_site_label
_atom_site_fract_x
_atom_site_fract_y
_atom_site_fract_z
_atom_site_occupancy
Li1 0.0000 0.2489 0.0000 1
Li2 0.5000 0.2497 0.4993 1
Cr1 0.0407 0.5000 0.7181 1
Cr2 0.9578 0.0000 0.2814 1
Co1 0.4803 0.5000 0.2167 1
Co2 0.5211 0.0000 0.7805 1
P1 0.0823 0.0000 0.5927 1
P2 0.4154 0.0000 0.0947 1
P3 0.5813 0.5000 0.9045 1
P4 0.9175 0.5000 0.4066 1
O1 0.1958 0.0000 0.4521 1
O2 0.2253 0.1979 0.6641 1
O3 0.2390 0.5000 0.4032 1
O4 0.2566 0.5000 0.8990 1
O5 0.2903 0.0000 0.9539 1
O6 0.2896 0.2048 0.1634 1
O7 0.7063 0.5000 0.0456 1
O8 0.7066 0.2951 0.8356 1
O9 0.7405 0.0000 0.1004 1
O10 0.7611 0.0000 0.5950 1
O11 0.7740 0.3017 0.3364 1
O12 0.8052 0.5000 0.5477 1
```

Entry 3:
Diffraction record for NiS2O12. The XRD peak list is computed, not measured: it uses a GGA+U-relaxed structure and copper Kα.
Kinematic intensities with the Lorentz-polarization factor, no thermal factor.

Top 10 peaks for 2θ = 10–80°, by angle:
hkl 0 0 1, 2θ = 12.6°, I 368; hkl 0 1 -1, 2θ = 14.5°, I 308; hkl 1 0 -1, 2θ = 17.3°, I 562; hkl 1 -1 0, 2θ = 18.0°, I 1000; hkl 1 0 1, 2θ = 20.6°, I 516; hkl 1 1 0, 2θ = 20.7°, I 683; hkl 0 1 1, 2θ = 21.6°, I 531; hkl 0 1 -2, 2θ = 23.8°, I 681; hkl 0 2 -2, 2θ = 29.2°, I 144; hkl 1 0 2, 2θ = 31.3°, I 174

Structural model:
```
data_NiS2O12
_chemical_formula_sum 'Ni1 S2 O12'
_cell_length_a 6.3859
_cell_length_b 7.2136
_cell_length_c 7.6246
_cell_angle_alpha 111.24
_cell_angle_beta 97.51
_cell_angle_gamma 94.56
_space_group_name_H-M_alt 'P -1'
_space_group_IT_number 2
_space_group_name_Hall '-P 1'
loop_
_atom_site_label
_atom_site_fract_x
_atom_site_fract_y
_atom_site_fract_z
_atom_site_occupancy
Ni1 0.0000 0.0000 0.0000 1
S1 0.4922 0.4318 0.6918 1
O1 0.0475 0.7406 0.9213 1
O2 0.0804 0.9284 0.2064 1
O3 0.2312 0.0778 0.9167 1
O4 0.2866 0.5952 0.2965 1
O5 0.3279 0.2662 0.5862 1
O6 0.4364 0.6304 0.7823 1
```

Entry 4:
Diffraction record for MnH6S4O16. The XRD peak list is computed, not measured: it uses a GGA+U-relaxed structure and copper Kα.
Kinematic intensities with the Lorentz-polarization factor, no thermal factor.

Top 10 peaks for 2θ = 10–80°, by angle:
hkl 0 1 1, 2θ = 12.3°, I 462; hkl 1 2 -1, 2θ = 21.5°, I 589; hkl 0 0 2, 2θ = 21.8°, I 313; hkl 1 1 1, 2θ = 23.4°, I 541; hkl 0 2 2, 2θ = 24.7°, I 133; hkl 1 3 -1, 2θ = 25.1°, I 385; hkl 0 4 1, 2θ = 25.5°, I 1000; hkl 1 2 -2, 2θ = 27.1°, I 389; hkl 0 4 2, 2θ = 31.9°, I 229; hkl 1 6 0, 2θ = 39.1°, I 128

Structural model:
```
data_MnH6S4O16
_chemical_formula_sum 'Mn2 H12 S8 O32'
_cell_length_a 5.2771
_cell_length_b 15.4739
_cell_length_c 8.3826
_cell_angle_alpha 90.00
_cell_angle_beta 103.94
_cell_angle_gamma 90.00
_space_group_name_H-M_alt 'P 1 21/c 1'
_space_group_IT_number 14
_space_group_name_Hall '-P 2ybc'
loop_
_atom_site_label
_atom_site_fract_x
_atom_site_fract_y
_atom_site_fract_z
_atom_site_occupancy
Mn1 0.0000 0.0000 0.0000 1
H1 0.1755 0.2324 0.7980 1
H2 0.2829 0.5232 0.1115 1
H3 0.4309 0.7373 0.8401 1
S1 0.1263 0.6681 0.2507 1
S2 0.4211 0.0861 0.7662 1
O1 0.0203 0.1134 0.1633 1
O2 0.0581 0.2340 0.3579 1
O3 0.2682 0.6268 0.1440 1
O4 0.2871 0.0419 0.5991 1
O5 0.2880 0.0595 0.8921 1
O6 0.3015 0.5637 0.6928 1
O7 0.3132 0.7212 0.3863 1
O8 0.3791 0.1795 0.7273 1
```

Entry 5:
Diffraction record for FeSnO6. The XRD peak list is computed, not measured: it uses a GGA+U-relaxed structure and copper Kα.
Kinematic intensities with the Lorentz-polarization factor, no thermal factor.

Top 10 peaks for 2θ = 10–80°, by angle:
hkl 1 1 1, 2θ = 21.8°, I 249; hkl 2 0 0, 2θ = 25.3°, I 1000; hkl 2 1 1, 2θ = 31.1°, I 99; hkl 2 2 0, 2θ = 36.0°, I 833; hkl 3 1 1, 2θ = 42.5°, I 177; hkl 2 2 2, 2θ = 44.5°, I 439; hkl 4 0 0, 2θ = 51.9°, I 175; hkl 4 2 0, 2θ = 58.6°, I 583; hkl 4 2 2, 2θ = 64.8°, I 405; hkl 4 4 0, 2θ = 76.5°, I 90

Structural model:
```
data_FeSnO6
_chemical_formula_sum 'Fe4 Sn4 O24'
_cell_length_a 7.0475
_cell_length_b 7.0475
_cell_length_c 7.0475
_cell_angle_alpha 90.00
_cell_angle_beta 90.00
_cell_angle_gamma 90.00
_space_group_name_H-M_alt 'P n -3'
_space_group_IT_number 201
loop_
_space_group_symop_operation_xyz
'x,y,z'
'-x,-y,-z'
'-x+1/2,-y+1/2,z'
'x+1/2,y+1/2,-z'
'x,-y+1/2,-z+1/2'
'-x,y+1/2,z+1/2'
'-x+1/2,y,-z+1/2'
'x+1/2,-y,z+1/2'
'z,x,y'
'-z,-x,-y'
'z,-x+1/2,-y+1/2'
'-z,x+1/2,y+1/2'
'-z+1/2,x,-y+1/2'
'z+1/2,-x,y+1/2'
'-z+1/2,-x+1/2,y'
'z+1/2,x+1/2,-y'
'y,z,x'
'-y,-z,-x'
'-y+1/2,z,-x+1/2'
'y+1/2,-z,x+1/2'
'-y+1/2,-z+1/2,x'
'y+1/2,z+1/2,-x'
'y,-z+1/2,-x+1/2'
'-y,z+1/2,x+1/2'
loop_
_atom_site_label
_atom_site_fract_x
_atom_site_fract_y
_atom_site_fract_z
_atom_site_occupancy
Fe1 0.0000 0.0000 0.0000 1
Sn1 0.0000 0.0000 0.5000 1
O1 0.0702 0.6448 0.7440 1
```

Entry 6:
Diffraction record for BaV2As2O10. The XRD peak list is computed, not measured: it uses a GGA+U-relaxed structure and copper Kα.
Kinematic intensities with the Lorentz-polarization factor, no thermal factor.

Top 10 peaks for 2θ = 10–80°, by angle:
hkl 4 0 0, 2θ = 19.0°, I 330; hkl 1 1 -1, 2θ = 19.3°, I 346; hkl 1 1 1, 2θ = 21.5°, I 311; hkl 1 1 -3, 2θ = 25.5°, I 1000; hkl 3 1 -4, 2θ = 27.2°, I 719; hkl 4 0 2, 2θ = 30.2°, I 652; hkl 8 0 -6, 2θ = 30.3°, I 643; hkl 7 1 -3, 2θ = 30.5°, I 989; hkl 7 1 -2, 2θ = 32.0°, I 502; hkl 0 2 1, 2θ = 38.6°, I 229

Structural model:
```
data_BaV2As2O10
_chemical_formula_sum 'Ba8 V16 As16 O80'
_cell_length_a 26.4017
_cell_length_b 4.7405
_cell_length_c 18.6452
_cell_angle_alpha 90.00
_cell_angle_beta 134.79
_cell_angle_gamma 90.00
_space_group_name_H-M_alt 'C 1 c 1'
_space_group_IT_number 9
_space_group_name_Hall 'C -2yc'
loop_
_atom_site_label
_atom_site_fract_x
_atom_site_fract_y
_atom_site_fract_z
_atom_site_occupancy
Ba1 0.0000 0.1250 0.0000 1
Ba2 0.2547 0.1374 0.0005 1
V1 0.0522 0.4752 0.3774 1
V2 0.1745 0.2758 0.7257 1
V3 0.3249 0.2256 0.7746 1
V4 0.4503 0.0251 0.1251 1
As1 0.0776 0.0268 0.2707 1
As2 0.1925 0.2279 0.1154 1
As3 0.3070 0.2771 0.3872 1
As4 0.4221 0.4806 0.2306 1
O1 0.0166 0.2011 0.1586 1
O2 0.0384 0.2855 0.7623 1
O3 0.0451 0.3232 0.4490 1
O4 0.0965 0.4314 0.6413 1
O5 0.1138 0.2173 0.3769 1
O6 0.1418 0.0491 0.1257 1
O7 0.1477 0.3155 0.9930 1
O8 0.1532 0.0661 0.7986 1
O9 0.2242 0.4649 0.6877 1
O10 0.2380 0.4787 0.3531 1
O11 0.2628 0.0311 0.1518 1
O12 0.2756 0.0308 0.8145 1
O13 0.3441 0.4343 0.6965 1
O14 0.3521 0.1739 0.5088 1
O15 0.3581 0.4512 0.3764 1
O16 0.3907 0.2820 0.1278 1
O17 0.4033 0.0726 0.8586 1
O18 0.4558 0.1794 0.0519 1
O19 0.4634 0.2138 0.7399 1
O20 0.4831 0.3001 0.3416 1
```